Starting from a DFT-relaxed cell (GGA-PBE, the Materials Project), the XRD peak list of Li3BH6 was calculated for Cu Kα (λ = 1.5418 Å).

Cell and atoms:
```
data_Li3BH6
_cell_length_a 5.1706
_cell_length_b 5.6689
_cell_length_c 6.0298
_cell_angle_alpha 84.29
_cell_angle_beta 89.64
_cell_angle_gamma 84.70
_symmetry_space_group_name_H-M 'P 1'
_symmetry_Int_Tables_number 1
loop_
_symmetry_equiv_pos_as_xyz
'x,y,z'
loop_
_atom_site_label
_atom_site_type_symbol
_atom_site_fract_x
_atom_site_fract_y
_atom_site_fract_z
Li1 Li 0.0000 0.0000 0.0000
Li2 Li 0.0186 0.4341 0.4567
Li3 Li 0.0592 0.4687 0.9447
Li4 Li 0.3525 0.9489 0.3630
Li5 Li 0.5731 0.1816 0.6956
Li6 Li 0.6452 0.6847 0.7493
B1 B 0.1741 0.8127 0.7053
B2 B 0.6076 0.5981 0.2394
H1 H 0.0873 0.8031 0.5134
H2 H 0.1340 0.2011 0.1935
H3 H 0.2960 0.6065 0.7424
H4 H 0.4615 0.4755 0.3529
H5 H 0.4851 0.7244 0.0905
H6 H 0.5065 0.0651 0.9924
H7 H 0.5801 0.1648 0.0318
H8 H 0.7190 0.7208 0.3591
H9 H 0.7288 0.1406 0.3946
H10 H 0.7726 0.4633 0.1579
H11 H 0.8022 0.0416 0.4712
H12 H 0.8216 0.3804 0.7362
```

Main lines, in order of falling intensity (2θ from 15° to 90°):
- 15.78°, rel. 100, (0 1 0)
- 34.95°, rel. 90, (1 2 0)
- 22.76°, rel. 90, (1 0 1)
- 34.61°, rel. 75, (1 0 2)
- 26.00°, rel. 54, (1 1 1)
- 22.32°, rel. 52, (1 1 0)
- 34.85°, rel. 51, (2 0 0)
- 39.50°, rel. 50, (2 1 1)
- 27.86°, rel. 49, (-1 1 1)
- 46.42°, rel. 49, (2 0 -2)

Starting from a DFT-relaxed cell (GGA-PBE, the Materials Project), the XRD peak list of LiBH was calculated for Cu Kα (λ = 1.5418 Å).

Cell and atoms:
```
data_LiBH
_cell_length_a 5.9088
_cell_length_b 3.0829
_cell_length_c 6.4765
_cell_angle_alpha 90.00
_cell_angle_beta 90.00
_cell_angle_gamma 90.00
_symmetry_space_group_name_H-M 'P n m a'
_symmetry_Int_Tables_number 62
loop_
_symmetry_equiv_pos_as_xyz
'x,y,z'
'-x,-y,-z'
'-x+1/2,-y,z+1/2'
'x+1/2,y,-z+1/2'
'x+1/2,-y+1/2,-z+1/2'
'-x+1/2,y+1/2,z+1/2'
'-x,y+1/2,-z'
'x,-y+1/2,z'
loop_
_atom_site_label
_atom_site_type_symbol
_atom_site_fract_x
_atom_site_fract_y
_atom_site_fract_z
Li1 Li 0.2476 0.2500 0.2102
B1 B 0.0516 0.2500 0.5122
H1 H 0.2331 0.7500 0.0299
```

Main lines, in order of falling intensity (2θ from 15° to 90°):
- 20.34°, rel. 100, (1 0 1)
- 41.37°, rel. 16, (2 0 2)
- 44.71°, rel. 14, (1 0 3)
- 27.54°, rel. 10, (0 0 2)
- 54.14°, rel. 7, (1 1 3)
- 32.16°, rel. 6, (0 1 1)
- 75.51°, rel. 5, (2 2 2)
- 57.30°, rel. 5, (3 1 1)
- 60.02°, rel. 5, (0 2 0)
- 31.50°, rel. 5, (1 0 2)

Starting from a DFT-relaxed cell (GGA-PBE, the Materials Project), the XRD peak list of Li2B5H5 was calculated for Cu Kα (λ = 1.5418 Å).

Cell and atoms:
```
data_Li2B5H5
_cell_length_a 5.5716
_cell_length_b 5.5716
_cell_length_c 16.9249
_cell_angle_alpha 90.00
_cell_angle_beta 90.00
_cell_angle_gamma 120.00
_symmetry_space_group_name_H-M 'R 3 m'
_symmetry_Int_Tables_number 160
_symmetry_space_group_name_Hall 'R 3 -2"'
loop_
_atom_site_label
_atom_site_type_symbol
_atom_site_fract_x
_atom_site_fract_y
_atom_site_fract_z
Li1 Li 0.0000 0.0000 0.0000
Li2 Li 0.0000 0.0000 0.4843
B1 B 0.0000 0.0000 0.6666
B2 B 0.0000 0.0000 0.8218
B3 B 0.1063 0.2127 0.7441
H1 H 0.0000 0.0000 0.5958
H2 H 0.0000 0.0000 0.8916
H3 H 0.2140 0.1070 0.0929
```

Main lines, in order of falling intensity (2θ from 15° to 90°):
- 19.13°, rel. 100, (1 0 1)
- 15.71°, rel. 56, (0 0 3)
- 32.13°, rel. 20, (1 1 0)
- 21.20°, rel. 17, (0 1 2)
- 28.05°, rel. 7, (1 0 4)
- 45.78°, rel. 6, (1 1 6)
- 66.98°, rel. 6, (0 3 6)
- 37.66°, rel. 4, (0 2 1)
- 46.21°, rel. 3, (2 0 5)
- 57.39°, rel. 3, (1 2 5)